Entry 1:
ZrCu2Ni2: calculated powder XRD pattern (CuKα), based on a cell relaxed with GGA-PBE.
Neutral-atom scattering factors, no anomalous dispersion.

Atomic structure:
```
data_ZrCu2Ni2
_chemical_formula_sum 'Zr2 Cu4 Ni4'
_space_group_name_H-M_alt 'P 1'
_space_group_IT_number 1
_cell_length_a 6.947
_cell_length_b 6.947
_cell_length_c 2.795
_cell_angle_alpha 90.00
_cell_angle_beta 90.00
_cell_angle_gamma 90.00
loop_
_space_group_symop_operation_xyz
'x,y,z'
loop_
_atom_site_label
_atom_site_fract_x
_atom_site_fract_y
_atom_site_fract_z
Zr1 0.000 0.000 0.000
Zr2 0.500 0.500 0.000
Cu1 0.163 0.337 0.500
Cu2 0.337 0.837 0.500
Cu3 0.663 0.163 0.500
Cu4 0.837 0.663 0.500
Ni1 0.130 0.630 0.000
Ni2 0.370 0.130 0.000
Ni3 0.630 0.870 0.000
Ni4 0.870 0.370 0.000
```

The 10 most intense peaks (2θ from 10° to 90°), in order of falling intensity:
d/Å  intensity
2.078  100
2.197  81
2.177  33
1.179  19
1.171  16
2.456  16
1.225  13
1.727  11
1.397  10
2.429  10

---

Entry 2:
Np4Cu: calculated powder XRD pattern (CuKα), based on a cell relaxed with GGA-PBE.
Neutral-atom scattering factors, no anomalous dispersion.

Atomic structure:
```
data_Np4Cu
_chemical_formula_sum 'Np4 Cu1'
_space_group_name_H-M_alt 'P 1'
_space_group_IT_number 1
_cell_length_a 5.264
_cell_length_b 5.264
_cell_length_c 5.264
_cell_angle_alpha 90.00
_cell_angle_beta 90.00
_cell_angle_gamma 90.00
loop_
_space_group_symop_operation_xyz
'x,y,z'
loop_
_atom_site_label
_atom_site_fract_x
_atom_site_fract_y
_atom_site_fract_z
Np1 0.000 0.000 0.000
Np2 0.000 0.500 0.500
Np3 0.500 0.000 0.500
Np4 0.500 0.500 0.000
Cu1 0.500 0.500 0.500
```

The 10 most intense peaks (2θ from 10° to 90°), in order of falling intensity:
d/Å  intensity
3.039  100
2.632  70
1.861  51
1.587  47
1.177  24
1.208  20
1.520  18
1.316  8
5.264  2
3.723  2

---

Entry 3:
Np2Cu2O7: calculated powder XRD pattern (CuKα), based on a cell relaxed with GGA-PBE.
Neutral-atom scattering factors, no anomalous dispersion.

Atomic structure:
```
data_Np2Cu2O7
_chemical_formula_sum 'Np2 Cu2 O7'
_space_group_name_H-M_alt 'P 1'
_space_group_IT_number 1
_cell_length_a 5.227
_cell_length_b 5.531
_cell_length_c 5.825
_cell_angle_alpha 101.59
_cell_angle_beta 95.73
_cell_angle_gamma 102.37
loop_
_space_group_symop_operation_xyz
'x,y,z'
loop_
_atom_site_label
_atom_site_fract_x
_atom_site_fract_y
_atom_site_fract_z
Np1 0.000 0.000 0.000
Np2 0.160 0.359 0.582
Cu1 0.515 0.923 0.488
Cu2 0.624 0.456 0.164
O1 0.087 0.677 0.781
O2 0.224 0.034 0.359
O3 0.314 0.240 0.921
O4 0.468 0.560 0.473
O5 0.693 0.786 0.069
O6 0.839 0.121 0.682
O7 0.921 0.317 0.239
```

The 10 most intense peaks (2θ from 10° to 90°), in order of falling intensity:
d/Å  intensity
3.178  100
4.178  74
3.268  73
3.511  72
5.048  70
2.525  46
2.763  42
3.471  42
2.821  41
2.510  40

---

Entry 4:
NpCuPbO5: calculated powder XRD pattern (CuKα), based on a cell relaxed with GGA-PBE.
Neutral-atom scattering factors, no anomalous dispersion.

Atomic structure:
```
data_NpCuPbO5
_chemical_formula_sum 'Np2 Cu2 Pb2 O10'
_space_group_name_H-M_alt 'P 1'
_space_group_IT_number 1
_cell_length_a 5.988
_cell_length_b 5.988
_cell_length_c 8.083
_cell_angle_alpha 105.53
_cell_angle_beta 105.53
_cell_angle_gamma 104.25
loop_
_space_group_symop_operation_xyz
'x,y,z'
loop_
_atom_site_label
_atom_site_fract_x
_atom_site_fract_y
_atom_site_fract_z
Np1 0.000 0.500 0.000
Np2 0.500 0.000 0.500
Cu1 0.035 0.965 0.750
Cu2 0.965 0.035 0.250
Pb1 0.430 0.570 0.750
Pb2 0.570 0.430 0.250
O1 0.123 0.743 0.900
O2 0.218 0.305 0.914
O3 0.257 0.877 0.600
O4 0.305 0.218 0.414
O5 0.317 0.683 0.250
O6 0.683 0.317 0.750
O7 0.695 0.782 0.586
O8 0.743 0.123 0.400
O9 0.782 0.695 0.086
O10 0.877 0.257 0.100
```

The 10 most intense peaks (2θ from 10° to 90°), in order of falling intensity:
d/Å  intensity
3.751  100
2.836  81
3.254  70
2.883  68
2.710  47
5.360  39
1.547  26
2.584  25
1.787  25
2.043  24

---

Entry 5:
PmNpCu2O8: calculated powder XRD pattern (CuKα), based on a cell relaxed with GGA-PBE.
Neutral-atom scattering factors, no anomalous dispersion.

Atomic structure:
```
data_PmNpCu2O8
_chemical_formula_sum 'Pm1 Np1 Cu2 O8'
_space_group_name_H-M_alt 'P 1'
_space_group_IT_number 1
_cell_length_a 6.414
_cell_length_b 6.414
_cell_length_c 6.414
_cell_angle_alpha 131.11
_cell_angle_beta 131.11
_cell_angle_gamma 71.65
loop_
_space_group_symop_operation_xyz
'x,y,z'
loop_
_atom_site_label
_atom_site_fract_x
_atom_site_fract_y
_atom_site_fract_z
Pm1 0.000 0.000 0.000
Np1 0.250 0.750 0.500
Cu1 0.500 0.500 0.000
Cu2 0.750 0.250 0.500
O1 0.019 0.391 0.991
O2 0.224 0.445 0.576
O3 0.352 0.776 0.221
O4 0.400 0.028 0.009
O5 0.555 0.131 0.779
O6 0.609 0.600 0.628
O7 0.869 0.648 0.424
O8 0.972 0.981 0.372
```

The 10 most intense peaks (2θ from 10° to 90°), in order of falling intensity:
d/Å  intensity
3.044  100
4.728  42
1.598  39
2.654  31
1.857  25
2.600  23
1.574  19
2.315  15
1.206  15
1.877  15

---

Entry 6:
NpCuSeO6: calculated powder XRD pattern (CuKα), based on a cell relaxed with GGA-PBE.
Neutral-atom scattering factors, no anomalous dispersion.

Atomic structure:
```
data_NpCuSeO6
_chemical_formula_sum 'Np2 Cu2 Se2 O12'
_space_group_name_H-M_alt 'P 1'
_space_group_IT_number 1
_cell_length_a 5.395
_cell_length_b 5.395
_cell_length_c 9.003
_cell_angle_alpha 90.00
_cell_angle_beta 90.00
_cell_angle_gamma 120.00
loop_
_space_group_symop_operation_xyz
'x,y,z'
loop_
_atom_site_label
_atom_site_fract_x
_atom_site_fract_y
_atom_site_fract_z
Np1 0.333 0.667 0.250
Np2 0.667 0.333 0.750
Cu1 0.000 0.000 0.000
Cu2 0.000 0.000 0.500
Se1 0.333 0.667 0.750
Se2 0.667 0.333 0.250
O1 0.002 0.348 0.632
O2 0.002 0.654 0.868
O3 0.346 0.348 0.868
O4 0.346 0.998 0.632
O5 0.348 0.002 0.132
O6 0.348 0.346 0.368
O7 0.652 0.654 0.632
O8 0.652 0.998 0.868
O9 0.654 0.002 0.368
O10 0.654 0.652 0.132
O11 0.998 0.346 0.132
O12 0.998 0.652 0.368
```

The 10 most intense peaks (2θ from 10° to 90°), in order of falling intensity:
d/Å  intensity
3.242  100
2.698  66
4.147  58
1.728  57
2.314  50
4.501  46
2.074  28
1.644  27
1.558  24
4.673  19

---

Entry 7:
Np2TlCuO8: calculated powder XRD pattern (CuKα), based on a cell relaxed with GGA-PBE.
Neutral-atom scattering factors, no anomalous dispersion.

Atomic structure:
```
data_Np2TlCuO8
_chemical_formula_sum 'Np2 Tl1 Cu1 O8'
_space_group_name_H-M_alt 'P 1'
_space_group_IT_number 1
_cell_length_a 4.891
_cell_length_b 4.891
_cell_length_c 6.957
_cell_angle_alpha 90.00
_cell_angle_beta 90.00
_cell_angle_gamma 91.62
loop_
_space_group_symop_operation_xyz
'x,y,z'
loop_
_atom_site_label
_atom_site_fract_x
_atom_site_fract_y
_atom_site_fract_z
Np1 0.000 0.000 0.243
Np2 0.000 0.000 0.757
Tl1 0.500 0.500 0.500
Cu1 0.500 0.500 0.000
O1 0.181 0.819 0.500
O2 0.185 0.815 0.000
O3 0.292 0.292 0.239
O4 0.292 0.292 0.761
O5 0.708 0.708 0.239
O6 0.708 0.708 0.761
O7 0.815 0.185 0.000
O8 0.819 0.181 0.500
```

The 10 most intense peaks (2θ from 10° to 90°), in order of falling intensity:
d/Å  intensity
2.834  100
3.507  53
3.409  47
1.866  39
1.836  34
2.444  28
1.476  20
1.559  18
4.889  16
1.129  13

---

Entry 8:
NpTl3Cu2O6: calculated powder XRD pattern (CuKα), based on a cell relaxed with GGA-PBE.
Neutral-atom scattering factors, no anomalous dispersion.

Atomic structure:
```
data_NpTl3Cu2O6
_chemical_formula_sum 'Np1 Tl3 Cu2 O6'
_space_group_name_H-M_alt 'P 1'
_space_group_IT_number 1
_cell_length_a 6.122
_cell_length_b 6.122
_cell_length_c 7.201
_cell_angle_alpha 90.00
_cell_angle_beta 90.00
_cell_angle_gamma 120.00
loop_
_space_group_symop_operation_xyz
'x,y,z'
loop_
_atom_site_label
_atom_site_fract_x
_atom_site_fract_y
_atom_site_fract_z
Np1 0.000 0.000 0.000
Tl1 0.000 0.000 0.500
Tl2 0.333 0.667 0.227
Tl3 0.667 0.333 0.773
Cu1 0.333 0.667 0.826
Cu2 0.667 0.333 0.174
O1 0.155 0.310 0.825
O2 0.155 0.845 0.825
O3 0.310 0.155 0.175
O4 0.690 0.845 0.825
O5 0.845 0.155 0.175
O6 0.845 0.690 0.175
```

The 10 most intense peaks (2θ from 10° to 90°), in order of falling intensity:
d/Å  intensity
3.061  100
2.979  89
1.751  41
2.135  41
4.269  23
1.767  21
1.361  17
1.552  17
1.530  16
5.301  15